1.
For LiNiPO4, a cell relaxed with GGA+U gives the computed powder diffractogram in this record (Cu Kα, 1.54184 Å).
No peak broadening, texture or thermal motion is included.

Cell and atoms:
```
LiNiPO4
1.0
4.9357 0.0000 0.0000
0.0000 9.8493 0.0000
-4.8392 0.0000 6.9610
Li Ni P O
4 4 4 16
Direct
0.1844 0.1648 0.4879 Li
0.1844 0.3352 0.9879 Li
0.8156 0.6648 0.0121 Li
0.8156 0.8352 0.5121 Li
0.3001 0.6350 0.5119 Ni
0.3001 0.8650 0.0119 Ni
0.6999 0.1350 0.9881 Ni
0.6999 0.3650 0.4881 Ni
0.4458 0.0953 0.2537 P
0.4458 0.4047 0.7537 P
0.5542 0.5953 0.2463 P
0.5542 0.9047 0.7463 P
0.1274 0.1225 0.2448 O
0.1274 0.3775 0.7448 O
0.2650 0.6753 0.0763 O
0.2650 0.8247 0.5763 O
0.3704 0.1398 0.0542 O
0.3704 0.3602 0.5542 O
0.4668 0.0582 0.7225 O
0.4668 0.4418 0.2225 O
0.5332 0.5582 0.7775 O
0.5332 0.9418 0.2775 O
0.6296 0.6398 0.4458 O
0.6296 0.8602 0.9458 O
0.7350 0.1753 0.4237 O
0.7350 0.3247 0.9237 O
0.8726 0.6225 0.2552 O
0.8726 0.8775 0.7552 O
```

Principal peaks in the range 2θ = 10–90°, most intense first:
2θ = 36.45°, I 100.0; 2θ = 15.59°, I 92.1; 2θ = 24.01°, I 62.7; 2θ = 21.93°, I 57.6; 2θ = 22.11°, I 48.6; 2θ = 52.55°, I 31.4; 2θ = 30.10°, I 27.3; 2θ = 25.56°, I 26.3; 2θ = 48.04°, I 22.6; 2θ = 23.74°, I 21.0

***

2.
For Li2Ni3P9O28, a cell relaxed with GGA+U gives the computed powder diffractogram in this record (Cu Kα, 1.54184 Å).
No peak broadening, texture or thermal motion is included.

Cell and atoms:
```
Li2Ni3P9O28
1.0
7.0679 0.0000 0.0000
-1.2733 8.8442 0.0000
-3.2028 -3.7597 7.7305
Li Ni P O
2 3 9 28
Direct
0.1094 0.3901 0.1859 Li
0.8906 0.6099 0.8141 Li
0.0000 0.0000 0.0000 Ni
0.2692 0.5161 0.7540 Ni
0.7308 0.4839 0.2460 Ni
0.1772 0.1974 0.4179 P
0.1857 0.7373 0.5348 P
0.2929 0.2650 0.9422 P
0.3568 0.8342 0.1063 P
0.5000 0.0000 0.5000 P
0.6432 0.1658 0.8937 P
0.7071 0.7350 0.0578 P
0.8143 0.2627 0.4652 P
0.8228 0.8026 0.5821 P
0.0353 0.8551 0.5578 O
0.0657 0.5830 0.3598 O
0.0834 0.1761 0.9281 O
0.1072 0.1855 0.2351 O
0.2223 0.6550 0.9714 O
0.2545 0.6996 0.6908 O
0.2624 0.3299 0.8064 O
0.2726 0.0560 0.4431 O
0.2776 0.9743 0.0768 O
0.3067 0.3764 0.5468 O
0.3846 0.8543 0.5498 O
0.4030 0.8456 0.2918 O
0.4160 0.1290 0.8976 O
0.4245 0.4000 0.1304 O
0.5755 0.6000 0.8696 O
0.5840 0.8710 0.1024 O
0.5970 0.1544 0.7082 O
0.6154 0.1457 0.4502 O
0.6933 0.6236 0.4532 O
0.7224 0.0257 0.9232 O
0.7274 0.9440 0.5569 O
0.7376 0.6701 0.1936 O
0.7455 0.3004 0.3092 O
0.7777 0.3450 0.0286 O
0.8928 0.8145 0.7649 O
0.9166 0.8239 0.0719 O
0.9343 0.4170 0.6402 O
0.9647 0.1449 0.4422 O
```

Principal peaks in the range 2θ = 10–90°, most intense first:
2θ = 17.25°, I 100.0; 2θ = 29.79°, I 65.7; 2θ = 18.19°, I 62.4; 2θ = 24.09°, I 53.2; 2θ = 23.55°, I 37.6; 2θ = 13.76°, I 29.0; 2θ = 31.48°, I 27.0; 2θ = 27.05°, I 26.5; 2θ = 39.24°, I 26.0; 2θ = 30.33°, I 25.0

***

3.
For Li3Ni2P3O12, a cell relaxed with GGA+U gives the computed powder diffractogram in this record (Cu Kα, 1.54184 Å).
No peak broadening, texture or thermal motion is included.

Cell and atoms:
```
Li3Ni2P3O12
1.0
5.7844 -6.2509 0.0000
5.7844 6.2509 0.0000
-2.5604 0.0000 5.7924
Li Ni P O
6 4 6 24
Direct
0.0000 0.0000 0.0000 Li
0.0000 0.0000 0.5000 Li
0.2147 0.7853 0.7500 Li
0.4744 0.5256 0.7500 Li
0.5256 0.4744 0.2500 Li
0.7853 0.2147 0.2500 Li
0.1253 0.4471 0.8691 Ni
0.4471 0.1253 0.3691 Ni
0.5529 0.8747 0.6309 Ni
0.8747 0.5529 0.1309 Ni
0.1653 0.3670 0.3664 P
0.2101 0.7899 0.2500 P
0.3670 0.1653 0.8664 P
0.6330 0.8347 0.1336 P
0.7899 0.2101 0.7500 P
0.8347 0.6330 0.6336 P
0.0311 0.7675 0.2673 O
0.0470 0.2056 0.3029 O
0.1016 0.4545 0.1777 O
0.1671 0.4951 0.5969 O
0.2056 0.0470 0.8029 O
0.2325 0.9689 0.2327 O
0.2365 0.6799 0.0275 O
0.3201 0.7635 0.4725 O
0.3477 0.3503 0.8957 O
0.3503 0.3477 0.3957 O
0.4545 0.1016 0.6777 O
0.4951 0.1671 0.0969 O
0.5049 0.8329 0.9031 O
0.5455 0.8984 0.3223 O
0.6497 0.6523 0.6043 O
0.6523 0.6497 0.1043 O
0.6799 0.2365 0.5275 O
0.7635 0.3201 0.9725 O
0.7675 0.0311 0.7673 O
0.7944 0.9530 0.1971 O
0.8329 0.5049 0.4031 O
0.8984 0.5455 0.8223 O
0.9530 0.7944 0.6971 O
0.9689 0.2325 0.7327 O
```

Principal peaks in the range 2θ = 10–90°, most intense first:
2θ = 16.76°, I 100.0; 2θ = 33.29°, I 61.8; 2θ = 29.37°, I 61.7; 2θ = 15.84°, I 40.0; 2θ = 14.17°, I 39.4; 2θ = 32.55°, I 29.9; 2θ = 26.25°, I 24.4; 2θ = 35.49°, I 21.9; 2θ = 43.39°, I 21.8; 2θ = 25.68°, I 20.8

***

4.
For Li2NiP2O7, a cell relaxed with GGA+U gives the computed powder diffractogram in this record (Cu Kα, 1.54184 Å).
No peak broadening, texture or thermal motion is included.

Cell and atoms:
```
Li2NiP2O7
1.0
4.9958 0.0000 0.0000
0.0000 8.2756 0.0000
-2.3458 0.0000 6.7277
Li Ni P O
4 2 4 14
Direct
0.1491 0.0000 0.4143 Li
0.3309 0.3282 0.8507 Li
0.6691 0.8282 0.1493 Li
0.8509 0.5000 0.5857 Li
0.2982 0.6868 0.7791 Ni
0.7018 0.1868 0.2209 Ni
0.1098 0.9974 0.9804 P
0.2839 0.3893 0.4147 P
0.7161 0.8893 0.5853 P
0.8902 0.4974 0.0196 P
0.0712 0.4945 0.8821 O
0.1028 0.5162 0.2466 O
0.1130 0.2341 0.4028 O
0.2716 0.8390 0.9940 O
0.3029 0.1452 0.0134 O
0.3144 0.4787 0.6099 O
0.4270 0.8625 0.6113 O
0.5730 0.3625 0.3887 O
0.6856 0.9787 0.3901 O
0.6971 0.6452 0.9866 O
0.7284 0.3390 0.0060 O
0.8870 0.7341 0.5972 O
0.8972 0.0162 0.7534 O
0.9288 0.9945 0.1179 O
```

Principal peaks in the range 2θ = 10–90°, most intense first:
2θ = 16.98°, I 100.0; 2θ = 28.89°, I 50.1; 2θ = 29.13°, I 33.8; 2θ = 21.93°, I 30.4; 2θ = 28.58°, I 24.6; 2θ = 26.41°, I 18.0; 2θ = 34.35°, I 16.3; 2θ = 21.69°, I 15.5; 2θ = 25.27°, I 13.1; 2θ = 28.70°, I 12.6